Computed X-ray powder pattern of Sr3TlPb4 for a wavelength of 1.5418 Å, from a cell relaxed with PBE.
Kinematic intensities with the Lorentz-polarization factor, no thermal factor.

```
data_Sr3TlPb4
_chemical_formula_sum 'Sr3 Tl1 Pb4'
_symmetry_space_group_name_H-M 'P 1'
_symmetry_Int_Tables_number 1
_cell_length_a 4.7158
_cell_length_b 4.9533
_cell_length_c 12.6425
_cell_angle_alpha 78.85
_cell_angle_beta 80.41
_cell_angle_gamma 89.98
loop_
_symmetry_equiv_pos_as_xyz
'x,y,z'
loop_
_atom_site_label
_atom_site_type_symbol
_atom_site_fract_x
_atom_site_fract_y
_atom_site_fract_z
Sr1 Sr 0.0000 0.0000 0.0000
Sr2 Sr 0.1207 0.6330 0.7300
Sr3 Sr 0.8793 0.3670 0.2700
Tl1 Tl 0.5000 0.5000 0.0000
Pb1 Pb 0.2866 0.7754 0.4527
Pb2 Pb 0.4090 0.8996 0.2040
Pb3 Pb 0.5910 0.1004 0.7960
Pb4 Pb 0.7134 0.2246 0.5473
```

Peak list (10 most intense, 15 to 90 degrees two-theta, in order of rising 2θ)
2θ (°)  I/Imax
26.09  100
27.00  52
27.22  74
29.22  44
31.34  67
34.00  66
34.52  61
36.27  72
38.18  61
53.68  46

***

Computed X-ray powder pattern of SrTl7Pb5 for a wavelength of 1.5418 Å, from a cell relaxed with PBE.
Kinematic intensities with the Lorentz-polarization factor, no thermal factor.

```
data_SrTl7Pb5
_chemical_formula_sum 'Sr1 Tl7 Pb5'
_symmetry_space_group_name_H-M 'P 1'
_symmetry_Int_Tables_number 1
_cell_length_a 8.6421
_cell_length_b 8.6421
_cell_length_c 6.6929
_cell_angle_alpha 112.01
_cell_angle_beta 112.01
_cell_angle_gamma 81.30
loop_
_symmetry_equiv_pos_as_xyz
'x,y,z'
loop_
_atom_site_label
_atom_site_type_symbol
_atom_site_fract_x
_atom_site_fract_y
_atom_site_fract_z
Sr1 Sr 0.0000 0.0000 0.0000
Tl1 Tl 0.1817 0.1817 0.6860
Tl2 Tl 0.2454 0.7639 0.5106
Tl3 Tl 0.3469 0.3469 0.4153
Tl4 Tl 0.3573 0.6459 0.0301
Tl5 Tl 0.6459 0.3573 0.0301
Tl6 Tl 0.6556 0.6556 0.7296
Tl7 Tl 0.7639 0.2454 0.5106
Pb1 Pb 0.0069 0.4758 0.0427
Pb2 Pb 0.4758 0.0069 0.0427
Pb3 Pb 0.5376 0.9933 0.5622
Pb4 Pb 0.8334 0.8334 0.3264
Pb5 Pb 0.9933 0.5376 0.5622
```

Peak list (10 most intense, 15 to 90 degrees two-theta, in order of rising 2θ)
2θ (°)  I/Imax
27.22  48
31.09  56
31.22  100
31.39  56
31.60  80
31.79  55
34.71  77
35.17  65
35.30  83
35.55  64